Structure and simulated X-ray diffraction stick pattern of HoNbC2I2 (the GGA-PBE geometry in OQMD; Cu Kα X-rays).
Kinematic intensities with the Lorentz-polarization factor, no thermal factor.

Atomic structure:
```
HoNbC2I2
1.0
3.5451 -1.8361 0.0000
3.5451 1.8361 0.0000
-0.6853 0.0000 10.7985
Ho Nb C I
1 1 2 2
Direct
0.0000 0.0000 0.0000
0.7030 0.7030 0.7722
0.2815 0.2815 0.9046
0.4414 0.4414 0.8406
0.0382 0.0382 0.5821
0.6827 0.6827 0.2006
```

Peak list (10 most intense, 2θ = 10–90°, low angle first)
| 2θ/deg | Rel. int. |
| --- | --- |
| 16.42 | 25 |
| 25.17 | 25 |
| 27.36 | 51 |
| 29.29 | 81 |
| 31.65 | 46 |
| 32.50 | 100 |
| 36.69 | 58 |
| 37.77 | 27 |
| 41.83 | 28 |
| 45.72 | 47 |

Structure and simulated X-ray diffraction stick pattern of TbCo3B2 (the GGA-PBE geometry in OQMD; Cu Kα X-rays).
Kinematic intensities with the Lorentz-polarization factor, no thermal factor.

Atomic structure:
```
TbCo3B2
1.0
5.0097 0.0000 0.0000
-2.5049 4.3385 0.0000
0.0000 0.0000 3.0224
Tb Co B
1 3 2
Direct
0.0000 0.0000 0.0000
0.0000 0.5000 0.5000
0.5000 0.0000 0.5000
0.5000 0.5000 0.5000
0.3333 0.6667 0.0000
0.6667 0.3333 0.0000
```

Peak list (10 most intense, 2θ = 10–90°, low angle first)
| 2θ/deg | Rel. int. |
| --- | --- |
| 20.47 | 33 |
| 35.85 | 14 |
| 36.22 | 100 |
| 41.63 | 85 |
| 47.12 | 57 |
| 64.67 | 36 |
| 72.45 | 15 |
| 75.98 | 15 |
| 76.88 | 26 |
| 87.19 | 16 |

Structure and simulated X-ray diffraction stick pattern of Tm3AsSe2 (the GGA-PBE geometry in OQMD; Cu Kα X-rays).
Kinematic intensities with the Lorentz-polarization factor, no thermal factor.

Atomic structure:
```
Tm3AsSe2
1.0
-2.0101 2.8398 6.0699
2.0101 -2.8398 6.0699
2.0101 2.8398 -6.0699
Tm As Se
3 1 2
Direct
0.0000 0.0000 0.0000
0.3410 0.3410 0.0000
0.6590 0.6590 0.0000
0.5000 0.0000 0.5000
0.1689 0.6689 0.5000
0.8311 0.3311 0.5000
```

Peak list (10 most intense, 2θ = 10–90°, low angle first)
| 2θ/deg | Rel. int. |
| --- | --- |
| 27.06 | 18 |
| 27.18 | 19 |
| 31.37 | 100 |
| 31.50 | 50 |
| 44.79 | 18 |
| 45.06 | 92 |
| 55.79 | 19 |
| 56.05 | 19 |
| 74.45 | 16 |
| 74.65 | 25 |